Diffraction record for Ca2LaRhAu. The powder X-ray diffraction pattern is computed, not measured: it uses a structure optimized by DFT (GGA-PBE) and Cu Ka.
No peak broadening, texture or thermal motion is included.

Cell and atoms:
abc: 5.417 5.417 5.512
angles: 90.00 90.00 90.00
Space group P4mm (No. 99)
Unique sites:
Ca: 0.000 0.500 0.000
La: 0.000 0.000 0.530
Rh: 0.000 0.000 0.069
Au: 0.500 0.500 0.659

Most intense lines, 2θ = 10–80°, by intensity:
d [Å]	Rel. int.	h k l
3.830	100	1 1 0
2.709	91	2 0 0
3.145	73	1 1 1
3.864	63	1 0 1
2.456	40	1 0 2
2.237	37	1 1 2
1.932	33	2 0 2
1.820	33	2 1 2
1.915	33	2 2 0
2.218	29	2 1 1

=====

Diffraction record for KRbAg2Br4. The powder X-ray diffraction pattern is computed, not measured: it uses a structure optimized by DFT (GGA-PBE) and Cu Ka.
No peak broadening, texture or thermal motion is included.

Cell and atoms:
abc: 7.995 8.202 8.705
angles: 90.00 90.00 90.00
Space group I222 (No. 23)
Unique sites:
K: 0.000 0.000 0.000
Rb: 0.000 0.000 0.500
Ag: 0.000 0.500 0.321
Br: 0.229 0.291 0.293

Most intense lines, 2θ = 10–80°, by intensity:
d [Å]	Rel. int.	h k l
2.863	100	2 2 0
3.465	88	1 1 2
5.888	34	1 0 1
2.733	33	0 1 3
4.352	32	0 0 2
3.365	32	1 2 1
1.781	22	2 3 3
2.034	19	1 1 4
2.392	19	2 2 2
2.190	19	3 1 2

=====

Diffraction record for InS. The powder X-ray diffraction pattern is computed, not measured: it uses a structure optimized by DFT (GGA-PBE) and Cu Ka.
No peak broadening, texture or thermal motion is included.

Cell and atoms:
abc: 13.081 3.980 7.510
angles: 90.00 90.00 90.00
Space group Pmn2_1 (No. 31)
Unique sites:
In: 0.000 0.017 0.000
In: 0.183 0.682 0.616
S: 0.000 0.553 0.711
S: 0.244 0.818 0.944

Most intense lines, 2θ = 10–80°, by intensity:
d [Å]	Rel. int.	h k l
3.771	100	3 0 1
3.397	62	1 1 1
6.518	61	1 0 1
3.517	43	0 1 1
3.755	40	0 0 2
2.098	33	5 1 1
1.904	33	2 2 0
2.940	28	3 1 0
2.315	25	3 1 2
2.732	24	0 1 2

=====

Diffraction record for Mn2NbP12. The powder X-ray diffraction pattern is computed, not measured: it uses a structure optimized by DFT (GGA-PBE) and Cu Ka.
No peak broadening, texture or thermal motion is included.

Cell and atoms:
abc: 16.108 5.793 10.682
angles: 90.00 115.63 90.00
Space group C2/c (No. 15)
Unique sites:
Mn: 0.182 0.190 0.046
Nb: 0.000 0.304 0.250
P: 0.033 0.049 0.928
P: 0.063 0.354 0.665
P: 0.117 0.450 0.505
P: 0.156 0.176 0.242
P: 0.178 0.173 0.836
P: 0.226 0.178 0.574

Most intense lines, 2θ = 10–80°, by intensity:
d [Å]	Rel. int.	h k l
1.779	100	4 0 -6
2.586	90	4 0 -4
2.559	79	3 1 2
1.794	76	3 3 0
4.406	76	1 1 1
2.793	74	5 1 -1
3.393	52	2 0 2
2.706	45	2 2 -1
2.964	40	3 1 -3
2.203	39	2 2 2